Calculated powder X-ray diffraction pattern of CsInMoF6 for copper Kα, from a PBE+U-relaxed structure.
Peak positions follow from Bragg's law for the DFT cell and can differ from measured ones.

Peak list (10 most intense, 2θ from 10° to 80°, sorted by position)
2theta  intensity  index
14.2  40  0 0 1
21.6  100  1 0 -1
22.1  44  0 1 1
22.3  44  1 0 1
22.4  85  -1 1 1
28.7  35  1 1 0
29.7  29  1 -2 0
29.9  30  2 -1 0
40.3  30  1 1 -2
41.4  28  1 -2 2

Atomic structure:
```
CsInMoF6
1.0
5.9824 0.0000 0.0000
-2.7808 5.3478 0.0000
-0.1110 -0.1451 6.2532
Cs In Mo F
1 1 1 6
Direct
0.0000 0.0000 0.0000 Cs
0.6596 0.3379 0.4985 In
0.3265 0.6744 0.4996 Mo
0.3626 0.3749 0.3274 F
0.3751 0.0214 0.6612 F
0.6261 0.6328 0.6722 F
0.6353 0.0686 0.2793 F
0.9329 0.3575 0.7145 F
0.9761 0.6243 0.3368 F
```